(1)
Theoretical XRD peak list of Cs2NdMgF6 for CuKα, from a DFT-relaxed cell (PBE, Alexandria).

Structure:
```
10
Lattice="-3.093 3.361 4.430 3.093 -3.361 4.430 3.093 3.361 -4.430" Properties=species:S:1:pos:R:3 pbc="T T T"
Cs 0.000 0.000 2.185
Cs 0.000 0.000 6.674
Nd 3.093 0.000 0.000
Mg 0.000 3.361 0.000
F 3.093 0.000 2.343
F 1.500 1.941 0.000
F 1.593 -1.420 4.430
F 1.500 4.781 0.000
F 1.593 1.420 4.430
F 0.000 3.361 2.086
```

Largest 12 diffraction maxima, low angle first, 2θ = 10–90°:
| 2theta | d/Å | Rel. int. |
| --- | --- | --- |
| 16.6 | 5.355 | 11 |
| 17.5 | 5.072 | 11 |
| 26.5 | 3.361 | 30 |
| 28.1 | 3.175 | 100 |
| 28.9 | 3.093 | 23 |
| 33.5 | 2.678 | 16 |
| 39.6 | 2.276 | 37 |
| 40.7 | 2.215 | 18 |
| 47.8 | 1.903 | 23 |
| 50.7 | 1.801 | 29 |
| 58.1 | 1.587 | 23 |
| 66.6 | 1.405 | 14 |



(2)
Theoretical XRD peak list of Cs2MgNpF6 for CuKα, from a DFT-relaxed cell (PBE, Alexandria).

Structure:
```
20
Lattice="6.667 0.000 0.000 0.000 8.225 0.000 0.000 0.000 7.816" Properties=species:S:1:pos:R:3 pbc="T T T"
Cs 1.667 0.049 1.197
Cs 1.667 4.063 1.197
Cs 5.000 4.162 6.619
Cs 5.000 8.176 6.619
Mg 1.667 2.056 5.794
Mg 5.000 6.169 2.022
Np 1.667 6.169 4.728
Np 5.000 2.056 3.088
F 0.194 2.056 4.348
F 0.270 2.056 7.196
F 1.667 4.160 5.782
F 1.667 8.178 5.782
F 3.064 2.056 7.196
F 3.139 2.056 4.348
F 3.528 6.169 3.468
F 3.603 6.169 0.620
F 5.000 0.048 2.034
F 5.000 4.065 2.034
F 6.397 6.169 0.620
F 6.472 6.169 3.468
```

Largest 12 diffraction maxima, low angle first, 2θ = 10–90°:
| 2theta | d/Å | Rel. int. |
| --- | --- | --- |
| 17.1 | 5.179 | 38 |
| 20.6 | 4.317 | 58 |
| 24.5 | 3.639 | 60 |
| 25.2 | 3.530 | 24 |
| 26.4 | 3.371 | 100 |
| 26.7 | 3.333 | 51 |
| 27.9 | 3.194 | 94 |
| 36.6 | 2.458 | 41 |
| 43.3 | 2.090 | 22 |
| 44.0 | 2.056 | 24 |
| 47.0 | 1.932 | 22 |
| 52.1 | 1.756 | 31 |



(3)
Theoretical XRD peak list of CsRbMgF4 for CuKα, from a DFT-relaxed cell (PBE, Alexandria).

Structure:
```
7
Lattice="-2.093 2.093 7.299 2.093 -2.093 7.299 2.093 2.093 -7.299" Properties=species:S:1:pos:R:3 pbc="T T T"
Cs 0.000 0.000 0.000
Rb 0.000 0.000 10.298
Mg 0.000 0.000 5.020
F 0.000 0.000 3.018
F 2.093 0.000 5.014
F 0.000 0.000 7.043
F 0.000 2.093 5.014
```

Largest 12 diffraction maxima, low angle first, 2θ = 10–90°:
| 2theta | d/Å | Rel. int. |
| --- | --- | --- |
| 22.1 | 4.024 | 35 |
| 24.4 | 3.650 | 24 |
| 28.1 | 3.173 | 100 |
| 30.2 | 2.960 | 65 |
| 32.6 | 2.743 | 15 |
| 36.9 | 2.433 | 19 |
| 39.2 | 2.299 | 58 |
| 43.2 | 2.093 | 41 |
| 48.4 | 1.880 | 17 |
| 48.8 | 1.867 | 14 |
| 52.4 | 1.747 | 36 |
| 58.1 | 1.587 | 19 |